# PuMn2BiO8
Simulated powder diffraction line list, λ = 1.5418 Å (Cu Kα). Input: a DFT-relaxed cell (PBE+U, Alexandria).

Atomic structure:
```
data_PuMn2BiO8
_chemical_formula_sum 'Pu2 Mn4 Bi2 O16'
_symmetry_space_group_name_H-M 'I -4 m 2'
_symmetry_Int_Tables_number 119
_symmetry_space_group_name_Hall 'I -4 -2'
_cell_length_a 6.944
_cell_length_b 6.944
_cell_length_c 6.874
_cell_angle_alpha 90.00
_cell_angle_beta 90.00
_cell_angle_gamma 90.00
loop_
_atom_site_label
_atom_site_type_symbol
_atom_site_fract_x
_atom_site_fract_y
_atom_site_fract_z
Pu1 Pu 0.000 0.000 0.000
Mn1 Mn 0.000 0.000 0.500
Mn2 Mn 0.000 0.500 0.750
Bi1 Bi 0.000 0.500 0.250
O1 O 0.000 0.174 0.308
O2 O 0.000 0.293 0.953
```

Principal peaks in the range 2θ = 10–90°, by angle:
- 2θ 18.16, intensity 76.7
- 2θ 25.66, intensity 100.0
- 2θ 31.62, intensity 24.9
- 2θ 31.78, intensity 93.5
- 2θ 36.60, intensity 25.6
- 2θ 41.15, intensity 17.2
- 2θ 49.24, intensity 69.6
- 2θ 60.07, intensity 17.9
- 2θ 62.89, intensity 19.5
- 2θ 75.01, intensity 18.2